(1)
For NaTi3P3O13, a crystal structure in the Materials Project, relaxed with PBE gives the computed PXRD pattern in this record (Cu Kα).
Kinematic intensities with the Lorentz-polarization factor, no thermal factor.

Atomic structure:
```
data_NaTi3P3O13
_symmetry_space_group_name_H-M 'P 1 21/m 1'
_symmetry_Int_Tables_number 11
_symmetry_space_group_name_Hall '-P 2yb'
_cell_length_a 7.7038
_cell_length_b 6.4097
_cell_length_c 10.4440
_cell_angle_alpha 90.00
_cell_angle_beta 99.36
_cell_angle_gamma 90.00
loop_
_atom_site_label
_atom_site_type_symbol
_atom_site_fract_x
_atom_site_fract_y
_atom_site_fract_z
Na1 Na 0.1548 0.2500 0.1846
Ti1 Ti 0.1430 0.2500 0.8045
Ti2 Ti 0.2915 0.7500 0.4393
Ti3 Ti 0.5000 0.0000 0.0000
P1 P 0.1886 0.7500 0.1170
P2 P 0.2394 0.7500 0.7632
P3 P 0.2783 0.2500 0.5136
O1 O 0.0034 0.2500 0.9564
O2 O 0.1286 0.5586 0.7875
O3 O 0.1505 0.7500 0.2606
O4 O 0.1598 0.2500 0.6173
O5 O 0.2466 0.0566 0.4252
O6 O 0.2879 0.7500 0.6260
O7 O 0.2916 0.5515 0.0925
O8 O 0.3644 0.2500 0.9015
O9 O 0.4136 0.7500 0.8663
O10 O 0.4763 0.2500 0.5836
```

Most intense lines, 2θ from 10° to 90°, sorted by position:
2θ/deg  d/Å  Rel. int.  (hkl)
19.18  4.629  100.0  1 0 -2
22.36  3.975  48.7  1 0 2
23.41  3.801  75.7  2 0 0
26.28  3.391  50.1  2 0 1
27.84  3.205  88.4  0 2 0
29.50  3.028  50.2  0 1 3
30.24  2.955  89.9  1 0 3
32.05  2.793  57.1  1 2 1
32.16  2.783  38.9  2 0 -3
35.11  2.556  38.7  3 0 -1

---

(2)
For NaTiPO5, a crystal structure in the Materials Project, relaxed with PBE gives the computed PXRD pattern in this record (Cu Kα).
Kinematic intensities with the Lorentz-polarization factor, no thermal factor.

Atomic structure:
```
data_NaTiPO5
_symmetry_space_group_name_H-M 'P n m a'
_symmetry_Int_Tables_number 62
_symmetry_space_group_name_Hall '-P 2ac 2n'
_cell_length_a 7.4963
_cell_length_b 6.5478
_cell_length_c 7.8170
_cell_angle_alpha 90.00
_cell_angle_beta 90.00
_cell_angle_gamma 90.00
loop_
_atom_site_label
_atom_site_type_symbol
_atom_site_fract_x
_atom_site_fract_y
_atom_site_fract_z
Na1 Na 0.0000 0.0000 0.0000
Ti1 Ti 0.1649 0.2500 0.2850
P1 P 0.1253 0.7500 0.3923
O1 O 0.0536 0.2500 0.5074
O2 O 0.1077 0.7500 0.8286
O3 O 0.1353 0.5589 0.2759
O4 O 0.2143 0.2500 0.0207
```

Most intense lines, 2θ from 10° to 90°, sorted by position:
2θ/deg  d/Å  Rel. int.  (hkl)
17.67  5.020  40.7  0 1 1
25.70  3.466  44.9  1 0 2
26.37  3.380  100.0  2 0 1
27.24  3.274  47.0  0 2 0
31.95  2.801  46.5  1 2 1
36.47  2.464  19.0  2 2 0
37.80  2.380  21.8  1 2 2
43.01  2.103  25.6  0 3 1
54.83  1.674  28.2  0 3 3
56.20  1.637  25.8  0 4 0